The following is a simulated X-ray powder pattern of SrMg6C. It was derived from a PBE-relaxed structure, using λ = 1.5418 Å (Cu Kα).
Peak positions follow from Bragg's law for the DFT cell and can differ from measured ones.

Crystal structure
a = 4.5275 Å, b = 7.7412 Å, c = 7.7412 Å
α = 44.02°, β = 90.00°, γ = 90.00°
Fractional coordinates of all 8 atoms:
1 Sr 0.0000 0.0000 0.0000
2 Mg 0.0000 0.4982 0.9949
3 Mg 0.0000 0.9949 0.4982
4 Mg 0.5000 0.1495 0.6102
5 Mg 0.5000 0.1617 0.1617
6 Mg 0.5000 0.6102 0.1495
7 Mg 0.5000 0.6098 0.6098
8 C 0.0000 0.3697 0.3697

Largest 12 diffraction maxima, low angle first, 10° ≤ 2θ ≤ 80°:
16.5 deg, I 51; 24.1 deg, I 33; 25.7 deg, I 59; 31.3 deg, I 51; 31.8 deg, I 100; 33.3 deg, I 44; 34.9 deg, I 30; 38.9 deg, I 81; 39.8 deg, I 35; 49.4 deg, I 18; 52.9 deg, I 23; 53.6 deg, I 19